For Na9Hg2Pd, DFT lattice parameters and positions (GGA-PBE) gives the simulated powder X-ray diffraction pattern in this record (copper Kα).
Intensities are scaled so that the largest is 100.

Atomic structure:
```
data_Na9Hg2Pd
_cell_length_a 6.226
_cell_length_b 6.246
_cell_length_c 9.571
_cell_angle_alpha 76.94
_cell_angle_beta 89.71
_cell_angle_gamma 82.45
_space_group_name_H-M_alt 'P -1'
_space_group_IT_number 2
loop_
_space_group_symop_operation_xyz
'x,y,z'
'-x,-y,-z'
loop_
_atom_site_label
_atom_site_type_symbol
_atom_site_fract_x
_atom_site_fract_y
_atom_site_fract_z
Na1 Na 0.000 0.000 0.000
Na2 Na 0.075 0.717 0.369
Na3 Na 0.216 0.725 0.697
Na4 Na 0.268 0.421 0.095
Na5 Na 0.465 0.161 0.776
Hg1 Hg 0.297 0.175 0.423
Pd1 Pd 0.500 0.500 0.500
```

Principal peaks in the range 15 to 90 degrees two-theta, in order of rising 2θ:
2θ (°)  I/Imax  hkl
17.03  100  1 0 -1
19.04  50  0 0 2
21.95  55  1 -1 0
23.63  54  1 0 -2
25.42  41  1 -1 1
30.74  57  1 2 1
31.45  58  0 2 2
31.63  83  1 -1 2
31.92  83  1 0 -3
33.22  50  1 2 2
34.58  94  -2 1 1
40.60  38  2 1 3